1.
Computed PXRD pattern
Compound: Ag5SnS4Cl2
Radiation: CuKα
Structure: a PBE-relaxed structure
Peak positions follow from Bragg's law for the DFT cell and can differ from measured ones.

Crystal structure
Cell lengths 7.718, 11.625, 6.281 Å; angles 90.00, 90.00, 90.00 degrees
Space group Amm2 (No. 38)
Symmetry-distinct sites (fractional):
1 Ag 0.000 0.000 0.000 (multiplicity 2)
2 Ag 0.279 0.183 0.479 (multiplicity 8)
3 Sn 0.500 0.000 0.034 (multiplicity 2)
4 S 0.246 0.000 0.262 (multiplicity 4)
5 S 0.500 0.175 0.813 (multiplicity 4)
6 Cl 0.000 0.172 0.726 (multiplicity 4)

Most intense lines, 2θ = 5–70°, low angle first:
3.298 Å, I = 100
3.215 Å, I = 29
3.164 Å, I = 77
3.140 Å, I = 24
2.246 Å, I = 62
1.938 Å, I = 15
1.929 Å, I = 15
1.898 Å, I = 37
1.842 Å, I = 20
1.665 Å, I = 22

***

2.
Computed PXRD pattern
Compound: Ag2Sb2Cl7
Radiation: CuKα
Structure: a PBE-relaxed structure
Peak positions follow from Bragg's law for the DFT cell and can differ from measured ones.

Crystal structure
Cell lengths 12.428, 9.719, 12.736 Å; angles 90.00, 116.07, 90.00 degrees
Space group C2/c (No. 15)
Symmetry-distinct sites (fractional):
1 Ag 0.124 0.129 0.015 (multiplicity 8)
2 Sb 0.206 0.264 0.242 (multiplicity 8)
3 Cl 0.000 0.329 0.250 (multiplicity 4)
4 Cl 0.098 0.150 0.560 (multiplicity 8)
5 Cl 0.151 0.319 0.851 (multiplicity 8)
6 Cl 0.225 0.046 0.343 (multiplicity 8)

Most intense lines, 2θ = 5–70°, low angle first:
7.330 Å, I = 52
5.582 Å, I = 61
5.494 Å, I = 64
5.326 Å, I = 100
4.860 Å, I = 60
3.704 Å, I = 39
3.132 Å, I = 45
2.886 Å, I = 57
2.328 Å, I = 56
2.236 Å, I = 47